Starting from a cell relaxed with PBE, the X-ray diffraction stick pattern of Er4CuSe2Cl was calculated for Cu Kα (weighted mean of Kα1 and Kα2).
Kinematic intensities with the Lorentz-polarization factor, no thermal factor.

Largest 12 diffraction maxima, low angle first, 2θ from 10° to 90°:
two_theta  d [Å]  I/Imax
26.42  3.374  14
26.54  3.358  13
27.85  3.203  25
31.34  2.854  51
31.55  2.836  100
43.43  2.084  19
44.99  2.015  37
45.14  2.008  35
46.95  1.935  17
54.68  1.678  17
57.54  1.602  20
65.87  1.418  12

Structural model:
Unit cell a=7.0517 b=3.8703 c=7.0840 alpha=90.00 beta=107.74 gamma=90.00
Space group P2/m (No. 10)
Symmetry-distinct sites (fractional):
Er 0.2293 0.0000 0.2324 x2
Er 0.2316 0.5000 0.7522 x2
Cu 0.0000 0.5000 0.0000 x1
Se 0.0000 0.0000 0.5000 x1
Se 0.5000 0.5000 0.5000 x1
Cl 0.5000 0.0000 0.0000 x1

=====

Starting from a cell relaxed with PBE, the X-ray diffraction stick pattern of Li3In4Hg16 was calculated for Cu Kα (weighted mean of Kα1 and Kα2).
Kinematic intensities with the Lorentz-polarization factor, no thermal factor.

Largest 12 diffraction maxima, low angle first, 2θ from 10° to 90°:
two_theta  d [Å]  I/Imax
23.77  3.743  26
27.53  3.240  78
28.16  3.168  28
31.56  2.834  77
32.90  2.722  100
36.29  2.475  73
36.86  2.439  26
38.63  2.331  48
39.06  2.306  20
40.12  2.247  29
45.78  1.982  23
46.50  1.953  21

Structural model:
Unit cell a=6.5918 b=7.9318 c=11.6893 alpha=90.00 beta=74.01 gamma=89.97
Space group P-1 (No. 2)
Symmetry-distinct sites (fractional):
Li 0.0000 0.0000 0.0000 x1
Li 0.0000 0.0000 0.5000 x1
Li 0.5000 0.5000 0.0000 x1
In 0.1251 0.0016 0.7271 x2
In 0.4993 0.4982 0.6751 x2
Hg 0.0815 0.5003 0.2627 x2
Hg 0.2072 0.2996 0.8838 x2
Hg 0.2089 0.7018 0.8823 x2
Hg 0.2250 0.2836 0.5319 x2
Hg 0.2254 0.7174 0.5334 x2
Hg 0.3058 0.1934 0.1209 x2
Hg 0.3068 0.8066 0.1202 x2
Hg 0.4010 0.9996 0.3358 x2

=====

Starting from a cell relaxed with PBE, the X-ray diffraction stick pattern of Co2B4Mo was calculated for Cu Kα (weighted mean of Kα1 and Kα2).
Kinematic intensities with the Lorentz-polarization factor, no thermal factor.

Largest 12 diffraction maxima, low angle first, 2θ from 10° to 90°:
two_theta  d [Å]  I/Imax
29.95  2.983  59
36.75  2.446  88
43.63  2.075  25
44.46  2.038  100
46.97  1.934  52
51.56  1.773  20
60.23  1.536  15
60.37  1.533  13
61.23  1.514  15
72.68  1.301  22
75.32  1.262  22
80.58  1.192  20

Structural model:
Unit cell a=3.0277 b=3.0728 c=12.4476 alpha=90.00 beta=90.00 gamma=90.00
Space group Immm (No. 71)
Symmetry-distinct sites (fractional):
Co 0.0000 0.0000 0.1855 x4
B 0.0000 0.0000 0.3484 x4
B 0.0000 0.5000 0.0749 x4
Mo 0.0000 0.5000 0.5000 x2

=====

Starting from a cell relaxed with PBE, the X-ray diffraction stick pattern of Pr3GaGe4 was calculated for Cu Kα (weighted mean of Kα1 and Kα2).
Kinematic intensities with the Lorentz-polarization factor, no thermal factor.

Largest 12 diffraction maxima, low angle first, 2θ from 10° to 90°:
two_theta  d [Å]  I/Imax
22.85  3.891  33
27.25  3.273  100
34.12  2.628  31
35.46  2.531  42
36.23  2.479  35
38.00  2.368  26
39.81  2.264  34
40.02  2.253  30
51.07  1.788  17
54.34  1.688  15
56.20  1.637  16
71.20  1.324  22

Structural model:
Unit cell a=4.5288 b=6.0398 c=15.2648 alpha=90.00 beta=90.00 gamma=90.00
Space group Immm (No. 71)
Symmetry-distinct sites (fractional):
Pr 0.0000 0.0000 0.0000 x2
Pr 0.0000 0.5000 0.1863 x4
Ga 0.0000 0.0000 0.5000 x2
Ge 0.0000 0.2954 0.3744 x8

=====

Starting from a cell relaxed with PBE, the X-ray diffraction stick pattern of CePr4S5 was calculated for Cu Kα (weighted mean of Kα1 and Kα2).
Kinematic intensities with the Lorentz-polarization factor, no thermal factor.

Largest 12 diffraction maxima, low angle first, 2θ from 10° to 90°:
two_theta  d [Å]  I/Imax
26.70  3.339  72
30.92  2.892  100
44.30  2.045  72
52.48  1.744  36
55.00  1.669  25
64.37  1.447  4
64.48  1.445  8
71.05  1.327  15
73.17  1.294  21
73.24  1.292  11
81.54  1.181  24
87.72  1.113  8

Structural model:
Unit cell a=9.1391 b=9.1391 c=5.7896 alpha=90.00 beta=90.00 gamma=90.00
Space group I4/m (No. 87)
Symmetry-distinct sites (fractional):
Ce 0.0000 0.0000 0.0000 x2
Pr 0.0958 0.6996 0.5000 x8
S 0.0000 0.0000 0.5000 x2
S 0.0995 0.7052 0.0000 x8

=====

Starting from a cell relaxed with PBE, the X-ray diffraction stick pattern of BaW3 was calculated for Cu Kα (weighted mean of Kα1 and Kα2).
Kinematic intensities with the Lorentz-polarization factor, no thermal factor.

Largest 12 diffraction maxima, low angle first, 2θ from 10° to 90°:
two_theta  d [Å]  I/Imax
11.08  7.982  100
34.40  2.607  44
34.62  2.591  43
37.13  2.421  83
38.87  2.317  21
42.96  2.105  20
43.14  2.097  20
53.04  1.726  22
53.21  1.722  37
65.05  1.434  17
70.83  1.330  15
82.78  1.166  15

Structural model:
Unit cell a=3.4062 b=3.4425 c=7.9820 alpha=90.00 beta=90.00 gamma=90.00
Space group Pmmm (No. 47)
Symmetry-distinct sites (fractional):
Ba 0.0000 0.0000 0.0000 x1
W 0.0000 0.0000 0.5000 x1
W 0.5000 0.5000 0.3453 x2

=====

Starting from a cell relaxed with PBE, the X-ray diffraction stick pattern of Cs2LaCl6 was calculated for Cu Kα (weighted mean of Kα1 and Kα2).
Kinematic intensities with the Lorentz-polarization factor, no thermal factor.

Largest 12 diffraction maxima, low angle first, 2θ from 10° to 90°:
two_theta  d [Å]  I/Imax
20.32  4.370  100
22.82  3.896  70
28.33  3.150  43
30.74  2.908  64
35.59  2.523  61
37.14  2.421  87
39.66  2.272  21
44.96  2.016  26
47.72  1.906  26
54.33  1.688  34
55.65  1.652  22
70.48  1.336  22

Structural model:
Unit cell a=4.5448 b=15.1506 c=8.7318 alpha=90.00 beta=90.00 gamma=90.00
Space group Amm2 (No. 38)
Symmetry-distinct sites (fractional):
Cs 0.0000 0.1669 0.0000 x4
La 0.5000 0.0000 0.5012 x2
Cl 0.0000 0.0000 0.7251 x2
Cl 0.0000 0.1118 0.3884 x4
Cl 0.5000 0.0000 0.1664 x2
Cl 0.5000 0.1675 0.6673 x4

=====

Starting from a cell relaxed with PBE, the X-ray diffraction stick pattern of Ba6Y2Al4O15 was calculated for Cu Kα (weighted mean of Kα1 and Kα2).
Kinematic intensities with the Lorentz-polarization factor, no thermal factor.

Largest 12 diffraction maxima, low angle first, 2θ from 10° to 90°:
two_theta  d [Å]  I/Imax
20.69  4.294  42
22.41  3.967  17
28.88  3.091  56
29.94  2.984  56
30.38  2.943  97
30.98  2.886  100
36.34  2.472  20
37.72  2.385  22
42.09  2.147  56
45.74  1.984  24
51.73  1.767  22
53.43  1.715  17

Structural model:
Unit cell a=7.9382 b=5.9688 c=18.5535 alpha=90.00 beta=91.60 gamma=90.00
Space group P2/c (No. 13)
Symmetry-distinct sites (fractional):
Ba 0.0000 0.1766 0.2500 x2
Ba 0.0014 0.2557 0.9172 x4
Ba 0.4700 0.2477 0.9098 x4
Ba 0.5000 0.2298 0.2500 x2
Y 0.2524 0.2490 0.0893 x4
Al 0.2522 0.2471 0.4441 x4
Al 0.2793 0.2672 0.7319 x4
O 0.0399 0.2547 0.4080 x4
O 0.1910 0.1804 0.8123 x4
O 0.2297 0.4749 0.1883 x4
O 0.2554 0.0469 0.6663 x4
O 0.2640 0.0028 0.9978 x4
O 0.2638 0.4821 0.5054 x4
O 0.4428 0.2621 0.3938 x4
O 0.5000 0.2897 0.7500 x2

=====

Repeat the fourth record exactly.
Starting from a cell relaxed with PBE, the X-ray diffraction stick pattern of Pr3GaGe4 was calculated for Cu Kα (weighted mean of Kα1 and Kα2).
Kinematic intensities with the Lorentz-polarization factor, no thermal factor.

Largest 12 diffraction maxima, low angle first, 2θ from 10° to 90°:
two_theta  d [Å]  I/Imax
22.85  3.891  33
27.25  3.273  100
34.12  2.628  31
35.46  2.531  42
36.23  2.479  35
38.00  2.368  26
39.81  2.264  34
40.02  2.253  30
51.07  1.788  17
54.34  1.688  15
56.20  1.637  16
71.20  1.324  22

Structural model:
Unit cell a=4.5288 b=6.0398 c=15.2648 alpha=90.00 beta=90.00 gamma=90.00
Space group Immm (No. 71)
Symmetry-distinct sites (fractional):
Pr 0.0000 0.0000 0.0000 x2
Pr 0.0000 0.5000 0.1863 x4
Ga 0.0000 0.0000 0.5000 x2
Ge 0.0000 0.2954 0.3744 x8